Record 1
The following is a theoretical X-ray diffraction stick pattern of Sc4TlSbO. It was derived from a crystal structure in Alexandria, relaxed with GGA-PBE, using Cu Kα X-rays.
Lines closer than 0.1° are merged.

Cell and atoms:
Cell: 6.1025 15.3964 6.1004 Å, 90.00 90.00 90.00°
Space group Cmcm (No. 63)
Inequivalent atoms, fractional coordinates:
Sc 0.0000 0.0860 0.2500 (multiplicity 4)
Sc 0.0000 0.4133 0.2500 (multiplicity 4)
Sc 0.2500 0.2500 0.0000 (multiplicity 8)
Tl 0.0000 0.3944 0.7500 (multiplicity 4)
Sb 0.0000 0.1078 0.7500 (multiplicity 4)
O 0.0000 0.2511 0.2500 (multiplicity 4)

Principal peaks in the range 10 to 80 degrees two-theta, sorted by position:
2theta  I_rel  hkl
21.39  44  1 1 1
27.00  67  1 3 1
29.27  66  2 0 0
31.55  35  2 2 0
37.62  100  2 4 0
41.88  58  2 0 2

Record 2
The following is a theoretical X-ray diffraction stick pattern of Tb5Tm3Tl2. It was derived from a crystal structure in Alexandria, relaxed with GGA-PBE, using Cu Kα X-rays.
Lines closer than 0.1° are merged.

Cell and atoms:
Cell: 12.9375 15.3377 6.4215 Å, 90.00 90.00 90.00°
Space group Ibam (No. 72)
Inequivalent atoms, fractional coordinates:
Tb 0.0000 0.0000 0.2500 (multiplicity 4)
Tb 0.1053 0.1680 0.0000 (multiplicity 8)
Tb 0.2478 0.0000 0.2500 (multiplicity 8)
Tm 0.0000 0.5000 0.2500 (multiplicity 4)
Tm 0.1253 0.2882 0.5000 (multiplicity 8)
Tl 0.1273 0.3577 0.0000 (multiplicity 8)

Principal peaks in the range 10 to 80 degrees two-theta, sorted by position:
2theta  I_rel  hkl
29.98  98  4 2 0
30.18  100  0 2 2
35.27  59  2 5 1
36.50  39  0 4 2
39.55  94  4 0 2
53.90  49  4 6 2

Record 3
The following is a theoretical X-ray diffraction stick pattern of Pu2PbF11. It was derived from a crystal structure in Alexandria, relaxed with GGA-PBE, using Cu Kα X-rays.
Lines closer than 0.1° are merged.

Cell and atoms:
Cell: 8.6647 10.3759 11.5919 Å, 90.00 90.00 90.00°
Space group Ibam (No. 72)
Inequivalent atoms, fractional coordinates:
Pu 0.1530 0.1766 0.0000 (multiplicity 8)
Pb 0.0000 0.5000 0.2500 (multiplicity 4)
F 0.0000 0.0000 0.0000 (multiplicity 4)
F 0.0841 0.3027 0.1339 (multiplicity 16)
F 0.1432 0.2137 0.5000 (multiplicity 8)
F 0.2341 0.4331 0.3723 (multiplicity 16)

Principal peaks in the range 10 to 80 degrees two-theta, sorted by position:
2theta  I_rel  hkl
20.32  100  1 1 2
21.38  71  1 2 1
23.01  74  0 2 2
23.54  88  2 1 1
32.20  42  3 1 0
43.72  54  3 3 2

Record 4
The following is a theoretical X-ray diffraction stick pattern of Th3CdHg3. It was derived from a crystal structure in Alexandria, relaxed with GGA-PBE, using Cu Kα X-rays.
Lines closer than 0.1° are merged.

Cell and atoms:
Cell: 8.4668 10.0988 9.3446 Å, 90.00 91.54 90.00°
Space group C2/m (No. 12)
Inequivalent atoms, fractional coordinates:
Th 0.0000 0.1869 0.0000 (multiplicity 4)
Th 0.0000 0.2474 0.5000 (multiplicity 4)
Th 0.0740 0.5000 0.8188 (multiplicity 4)
Cd 0.2293 0.5000 0.4603 (multiplicity 4)
Hg 0.0560 0.0000 0.2800 (multiplicity 4)
Hg 0.2385 0.2981 0.2348 (multiplicity 8)

Principal peaks in the range 10 to 80 degrees two-theta, sorted by position:
2theta  I_rel  hkl
28.85  23  2 0 2
30.22  46  1 3 1
33.31  100  2 2 -2
33.97  42  2 2 2
34.64  28  3 1 1
42.70  24  4 0 0

Record 5
The following is a theoretical X-ray diffraction stick pattern of Pm5YHo4. It was derived from a crystal structure in Alexandria, relaxed with GGA-PBE, using Cu Kα X-rays.
Lines closer than 0.1° are merged.

Cell and atoms:
Cell: 17.0895 3.5603 11.4860 Å, 90.00 108.81 90.00°
Space group C2/m (No. 12)
Inequivalent atoms, fractional coordinates:
Pm 0.0000 0.0000 0.0000 (multiplicity 2)
Pm 0.1890 0.5000 0.5765 (multiplicity 4)
Pm 0.2105 0.5000 0.1159 (multiplicity 4)
Y 0.0000 0.0000 0.5000 (multiplicity 2)
Ho 0.0833 0.5000 0.7912 (multiplicity 4)
Ho 0.1042 0.0000 0.2963 (multiplicity 4)

Principal peaks in the range 10 to 80 degrees two-theta, sorted by position:
2theta  I_rel  hkl
29.73  37  3 1 -1
31.15  71  2 0 -4
31.52  100  4 0 2
31.65  46  3 1 -2
31.94  65  6 0 -2
32.62  29  3 1 1

Record 6
The following is a theoretical X-ray diffraction stick pattern of Ho6Sc2Zn. It was derived from a crystal structure in Alexandria, relaxed with GGA-PBE, using Cu Kα X-rays.
Lines closer than 0.1° are merged.

Cell and atoms:
Cell: 9.8316 9.8449 5.1941 Å, 90.00 90.00 90.00°
Space group Pnnm (No. 58)
Inequivalent atoms, fractional coordinates:
Ho 0.0398 0.1876 0.0000 (multiplicity 4)
Ho 0.1221 0.6211 0.5000 (multiplicity 4)
Ho 0.1874 0.9584 0.5000 (multiplicity 4)
Sc 0.2118 0.2865 0.5000 (multiplicity 4)
Zn 0.0000 0.5000 0.0000 (multiplicity 2)

Principal peaks in the range 10 to 80 degrees two-theta, sorted by position:
2theta  I_rel  hkl
26.55  27  1 2 1
32.28  100  3 0 1
32.82  30  2 3 0
33.58  40  1 3 1
34.54  35  0 0 2
48.39  21  2 3 2

Record 7
The following is a theoretical X-ray diffraction stick pattern of Li2Ge2Cl7. It was derived from a crystal structure in Alexandria, relaxed with GGA-PBE, using Cu Kα X-rays.
Lines closer than 0.1° are merged.

Cell and atoms:
Cell: 11.3772 9.5515 6.8887 Å, 90.00 121.73 90.00°
Space group C2/m (No. 12)
Inequivalent atoms, fractional coordinates:
Li 0.0000 0.1800 0.0000 (multiplicity 4)
Ge 0.2056 0.5000 0.4342 (multiplicity 4)
Cl 0.0000 0.5000 0.5000 (multiplicity 2)
Cl 0.0455 0.0000 0.2835 (multiplicity 4)
Cl 0.2054 0.3184 0.2039 (multiplicity 8)

Principal peaks in the range 10 to 80 degrees two-theta, sorted by position:
2theta  I_rel  hkl
15.12  55  0 0 1
16.52  87  2 0 -1
18.58  46  0 2 0
23.42  50  1 1 1
24.04  100  0 2 1
32.13  73  2 2 -2

Record 8
The following is a theoretical X-ray diffraction stick pattern of PuAg2Au. It was derived from a crystal structure in Alexandria, relaxed with GGA-PBE, using Cu Kα X-rays.
Lines closer than 0.1° are merged.

Cell and atoms:
Cell: 5.3725 13.9840 5.3242 Å, 90.00 117.62 90.00°
Space group C2/c (No. 15)
Inequivalent atoms, fractional coordinates:
Pu 0.0000 0.1350 0.2500 (multiplicity 4)
Ag 0.1828 0.4258 0.1054 (multiplicity 8)
Au 0.0000 0.2514 0.7500 (multiplicity 4)

Principal peaks in the range 10 to 80 degrees two-theta, sorted by position:
2theta  I_rel  hkl
26.77  19  1 3 0
27.31  22  1 3 -1
34.31  30  1 1 -2
35.84  37  2 2 -1
37.75  100  1 3 1
40.02  16  2 2 0

Record 9
The following is a theoretical X-ray diffraction stick pattern of Tb2Sc2Sb2C. It was derived from a crystal structure in Alexandria, relaxed with GGA-PBE, using Cu Kα X-rays.
Lines closer than 0.1° are merged.

Cell and atoms:
Cell: 4.4975 4.4975 15.8031 Å, 90.00 90.00 90.00°
Space group I4/mmm (No. 139)
Inequivalent atoms, fractional coordinates:
Tb 0.0000 0.0000 0.1611 (multiplicity 4)
Sc 0.0000 0.5000 0.0000 (multiplicity 4)
Sb 0.0000 0.0000 0.3628 (multiplicity 4)
C 0.0000 0.0000 0.0000 (multiplicity 2)

Principal peaks in the range 10 to 80 degrees two-theta, sorted by position:
2theta  I_rel  hkl
22.50  34  0 0 4
28.06  88  1 1 0
30.30  41  1 1 2
36.26  100  1 1 4
40.10  64  2 0 0
53.59  33  2 0 6

Record 10
The following is a theoretical X-ray diffraction stick pattern of AcCu2Rh3S8. It was derived from a crystal structure in Alexandria, relaxed with GGA-PBE, using Cu Kα X-rays.
Lines closer than 0.1° are merged.

Cell and atoms:
Cell: 7.2967 7.2967 18.9019 Å, 90.00 90.00 120.00°
Space group R3m (No. 160, hexagonal axes)
Inequivalent atoms, fractional coordinates:
Ac 0.0000 0.0000 0.0000 (multiplicity 3)
Cu 0.0000 0.0000 0.3698 (multiplicity 3)
Cu 0.0000 0.0000 0.7868 (multiplicity 3)
Rh 0.1689 0.3379 0.2014 (multiplicity 9)
S 0.0000 0.0000 0.1455 (multiplicity 3)
S 0.0000 0.0000 0.5982 (multiplicity 3)
S 0.0331 0.5165 0.1286 (multiplicity 9)
S 0.1966 0.3932 0.9399 (multiplicity 9)

Principal peaks in the range 10 to 80 degrees two-theta, sorted by position:
2theta  I_rel  hkl
23.51  67  1 0 4
27.49  72  0 1 5
28.27  100  1 1 3
28.65  80  0 2 1
44.89  57  1 2 5
50.00  64  2 2 0

Record 11
The following is a theoretical X-ray diffraction stick pattern of NdSmNbN3. It was derived from a crystal structure in Alexandria, relaxed with GGA-PBE, using Cu Kα X-rays.
Lines closer than 0.1° are merged.

Cell and atoms:
Cell: 6.5536 3.4007 9.7049 Å, 90.00 94.59 90.00°
Space group P2_1/m (No. 11)
Inequivalent atoms, fractional coordinates:
Nd 0.2243 0.2500 0.2553 (multiplicity 2)
Sm 0.3183 0.7500 0.8925 (multiplicity 2)
Nb 0.1351 0.2500 0.5818 (multiplicity 2)
N 0.0879 0.2500 0.7820 (multiplicity 2)
N 0.2016 0.7500 0.4737 (multiplicity 2)
N 0.4108 0.7500 0.1324 (multiplicity 2)

Principal peaks in the range 10 to 80 degrees two-theta, sorted by position:
2theta  I_rel  hkl
16.97  75  1 0 1
27.30  76  2 0 0
29.90  85  1 0 -3
31.39  80  1 1 1
31.92  100  1 0 3
38.20  75  2 1 0